1.
# LiPmAlNi
Calculated powder XRD pattern, Cu Kα X-rays. Input: a crystal structure in Alexandria, relaxed with GGA-PBE.
Lines closer than 0.1° are merged.

Cell and atoms:
abc: 6.5418 6.5418 6.5418
angles: 90.00 90.00 90.00
Space group F-43m (No. 216)
Symmetry-distinct sites (fractional):
Li: 0.0000 0.0000 0.0000 x4
Pm: 0.2500 0.2500 0.7500 x4
Al: 0.2500 0.2500 0.2500 x4
Ni: 0.0000 0.0000 0.5000 x4

The 12 most intense peaks (10 to 90 degrees two-theta), by intensity:
d (Å), two_theta, intensity
2.313, 38.94, 100.0
3.777, 23.56, 74.1
1.972, 46.01, 37.6
1.335, 70.52, 33.5
3.271, 27.26, 23.1
1.635, 56.25, 16.8
1.501, 61.82, 15.4
1.106, 88.40, 11.7
1.259, 75.52, 11.3
1.156, 83.62, 10.5
1.463, 63.61, 9.0
1.888, 48.19, 6.6

=====

2.
# LiAlNiPt
Calculated powder XRD pattern, Cu Kα X-rays. Input: a crystal structure in Alexandria, relaxed with GGA-PBE.
Lines closer than 0.1° are merged.

Cell and atoms:
abc: 4.0200 4.0200 6.2679
angles: 90.00 90.00 90.00
Space group I-4m2 (No. 119)
Symmetry-distinct sites (fractional):
Li: 0.0000 0.0000 0.0000 x2
Al: 0.0000 0.0000 0.5000 x2
Ni: 0.0000 0.5000 0.7500 x2
Pt: 0.0000 0.5000 0.2500 x2

The 12 most intense peaks (10 to 90 degrees two-theta), by intensity:
d (Å), two_theta, intensity
2.106, 42.96, 100.0
3.384, 26.34, 70.9
2.843, 31.47, 70.7
3.134, 28.48, 45.6
2.010, 45.11, 43.4
1.692, 54.21, 30.6
1.178, 81.75, 30.3
1.728, 52.99, 22.5
1.236, 77.19, 17.6
1.372, 68.36, 15.1
1.421, 65.70, 14.0
1.854, 49.14, 13.9

=====

3.
# LiTbAlNi
Calculated powder XRD pattern, Cu Kα X-rays. Input: a crystal structure in Alexandria, relaxed with GGA-PBE.
Lines closer than 0.1° are merged.

Cell and atoms:
abc: 6.4563 6.4563 6.4563
angles: 90.00 90.00 90.00
Space group F-43m (No. 216)
Symmetry-distinct sites (fractional):
Li: 0.0000 0.0000 0.0000 x4
Tb: 0.2500 0.2500 0.7500 x4
Al: 0.2500 0.2500 0.2500 x4
Ni: 0.0000 0.0000 0.5000 x4

The 12 most intense peaks (10 to 90 degrees two-theta), by intensity:
d (Å), two_theta, intensity
2.283, 39.48, 100.0
3.728, 23.87, 78.1
1.947, 46.66, 39.6
1.318, 71.60, 33.5
3.228, 27.63, 25.8
1.614, 57.06, 16.7
1.481, 62.73, 16.2
1.091, 89.89, 12.7
1.243, 76.70, 12.0
1.141, 84.98, 10.6
1.444, 64.55, 10.0
1.864, 48.87, 7.4

=====

4.
# Li2Np2AlO6
Calculated powder XRD pattern, Cu Kα X-rays. Input: a crystal structure in Alexandria, relaxed with GGA-PBE.
Lines closer than 0.1° are merged.

Cell and atoms:
abc: 5.5131 5.5131 14.1528
angles: 90.00 90.00 120.00
Space group R-3m (No. 166, hexagonal axes)
Symmetry-distinct sites (fractional):
Li: 0.0000 0.0000 0.0733 x6
Np: 0.0000 0.0000 0.2861 x6
Al: 0.0000 0.0000 0.5000 x3
O: 0.0320 0.5160 0.2538 x18

The 12 most intense peaks (10 to 90 degrees two-theta), by intensity:
d (Å), two_theta, intensity
3.958, 22.46, 100.0
2.757, 32.48, 74.9
2.435, 36.92, 46.2
2.262, 39.85, 44.6
2.380, 37.80, 31.8
4.718, 18.81, 31.5
2.843, 31.47, 27.6
1.522, 60.88, 25.9
1.749, 52.32, 23.3
1.825, 49.98, 22.4
4.524, 19.62, 21.8
1.979, 45.85, 20.9

=====

5.
# LiAlPO5
Calculated powder XRD pattern, Cu Kα X-rays. Input: a crystal structure in Alexandria, relaxed with GGA-PBE.
Lines closer than 0.1° are merged.

Cell and atoms:
abc: 5.1541 5.2149 7.0130
angles: 106.70 105.98 99.00
Space group P-1 (No. 2)
Symmetry-distinct sites (fractional):
Li: 0.2396 0.3733 0.2504 x2
Al: 0.5000 0.0000 0.0000 x1
Al: 0.5000 0.0000 0.5000 x1
P: 0.1743 0.3607 0.7576 x2
O: 0.1437 0.7535 0.3694 x2
O: 0.1977 0.6785 0.8516 x2
O: 0.2562 0.2383 0.9340 x2
O: 0.3508 0.3122 0.6114 x2
O: 0.4319 0.0745 0.2525 x2

The 12 most intense peaks (10 to 90 degrees two-theta), by intensity:
d (Å), two_theta, intensity
3.034, 29.44, 100.0
3.204, 27.84, 91.6
3.178, 28.07, 70.0
3.317, 26.88, 50.3
4.650, 19.09, 48.3
3.337, 26.72, 47.3
4.708, 18.85, 47.2
2.418, 37.18, 41.0
3.353, 26.58, 38.4
1.745, 52.44, 29.2
4.790, 18.52, 28.4
1.956, 46.43, 28.2